This entry pairs a crystal structure of KNaPr with its theoretical XRD peak list. Radiation: Cu Kα (weighted mean of Kα1 and Kα2). Structure: a structure optimized by DFT (GGA-PBE).

Principal peaks in the range 10 to 90 degrees two-theta, in order of rising 2θ:
index, d [Å], I/Imax
1 0 1, 3.788, 147
1 0 3, 3.249, 1000
1 0 4, 2.928, 418
1 1 0, 2.741, 369
1 1 1, 2.709, 175
1 0 5, 2.628, 153
1 1 6, 2.017, 151
2 0 0, 1.938, 132
1 1 7, 1.869, 152
2 1 3, 1.664, 270
1 0 10, 1.624, 170
2 1 4, 1.616, 144

Atomic structure:
```
data_KNaPr
_cell_length_a 3.876
_cell_length_b 3.876
_cell_length_c 17.883
_cell_angle_alpha 90.00
_cell_angle_beta 90.00
_cell_angle_gamma 90.00
_symmetry_space_group_name_H-M 'P 4/n m m'
_symmetry_Int_Tables_number 129
loop_
_symmetry_equiv_pos_as_xyz
'x,y,z'
'-x,-y,-z'
'-y+1/2,x,z'
'y+1/2,-x,-z'
'-x+1/2,-y+1/2,z'
'x+1/2,y+1/2,-z'
'y,-x+1/2,z'
'-y,x+1/2,-z'
'x+1/2,-y,-z'
'-x+1/2,y,z'
'-y,-x,-z'
'y,x,z'
'-x,y+1/2,-z'
'x,-y+1/2,z'
'y+1/2,x+1/2,-z'
'-y+1/2,-x+1/2,z'
loop_
_atom_site_label
_atom_site_type_symbol
_atom_site_fract_x
_atom_site_fract_y
_atom_site_fract_z
K1 K 0.250 0.250 0.108
Na1 Na 0.250 0.250 0.714
Pr1 Pr 0.250 0.250 0.432
```



This entry pairs a crystal structure of KNaPuSe3 with its theoretical XRD peak list. Radiation: Cu Kα (weighted mean of Kα1 and Kα2). Structure: a structure optimized by DFT (GGA-PBE).

Principal peaks in the range 10 to 90 degrees two-theta, in order of rising 2θ:
index, d [Å], I/Imax
1 0 0, 7.938, 483
1 0 -1, 6.442, 297
0 0 2, 5.144, 105
0 1 1, 3.933, 122
1 1 -2, 3.067, 1000
2 1 -2, 2.568, 123
3 1 0, 2.247, 229
2 0 -4, 2.209, 107
0 2 0, 2.128, 129
1 1 4, 2.098, 232
2 2 2, 1.749, 127
2 2 -4, 1.533, 98

Atomic structure:
```
data_KNaPuSe3
_cell_length_a 7.948
_cell_length_b 4.257
_cell_length_c 10.300
_cell_angle_alpha 90.00
_cell_angle_beta 92.85
_cell_angle_gamma 90.00
_symmetry_space_group_name_H-M 'P 1 21/m 1'
_symmetry_Int_Tables_number 11
_symmetry_space_group_name_Hall '-P 2yb'
loop_
_atom_site_label
_atom_site_type_symbol
_atom_site_fract_x
_atom_site_fract_y
_atom_site_fract_z
K1 K 0.077 0.250 0.166
Na1 Na 0.247 0.750 0.496
Pu1 Pu 0.419 0.250 0.822
Se1 Se 0.128 0.250 0.669
Se2 Se 0.302 0.750 0.986
Se3 Se 0.439 0.250 0.319
```



This entry pairs a crystal structure of K3Rb4Na5 with its theoretical XRD peak list. Radiation: Cu Kα (weighted mean of Kα1 and Kα2). Structure: a structure optimized by DFT (GGA-PBE).

Principal peaks in the range 10 to 90 degrees two-theta, in order of rising 2θ:
index, d [Å], I/Imax
1 1 0, 6.800, 220
4 0 -1, 4.722, 332
1 1 2, 3.843, 487
4 0 -3, 3.808, 336
0 2 0, 3.729, 1000
3 1 -3, 3.575, 495
5 1 -1, 3.333, 675
4 2 -3, 2.665, 257
2 2 2, 2.636, 267
2 0 -5, 2.390, 193
1 3 2, 2.177, 232
10 2 -2, 1.667, 203

Atomic structure:
```
data_K3Rb4Na5
_cell_length_a 19.087
_cell_length_b 7.463
_cell_length_c 12.397
_cell_angle_alpha 90.00
_cell_angle_beta 120.10
_cell_angle_gamma 90.00
_symmetry_space_group_name_H-M 'C 1 2/m 1'
_symmetry_Int_Tables_number 12
_symmetry_space_group_name_Hall '-C 2y'
loop_
_atom_site_label
_atom_site_type_symbol
_atom_site_fract_x
_atom_site_fract_y
_atom_site_fract_z
K1 K 0.000 0.000 0.000
K2 K 0.248 0.000 0.707
Rb1 Rb 0.083 0.500 0.420
Rb2 Rb 0.190 0.500 0.879
Na1 Na 0.000 0.500 0.000
Na2 Na 0.031 0.000 0.675
Na3 Na 0.170 0.000 0.343
```



This entry pairs a crystal structure of KRb15Na4 with its theoretical XRD peak list. Radiation: Cu Kα (weighted mean of Kα1 and Kα2). Structure: a structure optimized by DFT (GGA-PBE).

Principal peaks in the range 10 to 90 degrees two-theta, in order of rising 2θ:
index, d [Å], I/Imax
1 0 0, 6.868, 77
1 1 5, 3.903, 1000
2 0 0, 3.434, 375
0 0 10, 3.280, 144
2 2 0, 2.428, 144
2 0 10, 2.372, 232
3 1 5, 2.062, 338
1 1 15, 1.994, 113
2 2 10, 1.952, 127
3 1 15, 1.541, 103
4 2 10, 1.391, 83
5 1 5, 1.319, 77

Atomic structure:
```
data_KRb15Na4
_cell_length_a 6.868
_cell_length_b 6.868
_cell_length_c 32.801
_cell_angle_alpha 90.00
_cell_angle_beta 90.00
_cell_angle_gamma 90.00
_symmetry_space_group_name_H-M 'P 4/m m m'
_symmetry_Int_Tables_number 123
_symmetry_space_group_name_Hall '-P 4 2'
loop_
_atom_site_label
_atom_site_type_symbol
_atom_site_fract_x
_atom_site_fract_y
_atom_site_fract_z
K1 K 0.000 0.000 0.000
Rb1 Rb 0.000 0.500 0.110
Rb2 Rb 0.000 0.500 0.305
Rb3 Rb 0.000 0.500 0.500
Rb4 Rb 0.500 0.500 0.000
Rb5 Rb 0.500 0.500 0.207
Rb6 Rb 0.500 0.500 0.402
Na1 Na 0.000 0.000 0.207
Na2 Na 0.000 0.000 0.403
```



This entry pairs a crystal structure of K16RbNa12 with its theoretical XRD peak list. Radiation: Cu Kα (weighted mean of Kα1 and Kα2). Structure: a structure optimized by DFT (GGA-PBE).

Principal peaks in the range 10 to 90 degrees two-theta, in order of rising 2θ:
index, d [Å], I/Imax
1 1 1, 6.088, 70
0 4 2, 3.723, 141
0 6 0, 3.517, 1000
3 3 -3, 3.501, 740
2 0 2, 3.183, 174
3 1 -4, 3.156, 82
4 4 -2, 3.041, 70
3 5 0, 2.930, 82
5 7 -1, 2.034, 71
1 9 2, 2.030, 178
2 8 -4, 2.025, 134
2 6 -5, 2.021, 71

Atomic structure:
```
data_K16RbNa12
_cell_length_a 14.901
_cell_length_b 21.091
_cell_length_c 12.817
_cell_angle_alpha 90.00
_cell_angle_beta 124.93
_cell_angle_gamma 90.00
_symmetry_space_group_name_H-M 'C 1 m 1'
_symmetry_Int_Tables_number 8
_symmetry_space_group_name_Hall 'C -2y'
loop_
_atom_site_label
_atom_site_type_symbol
_atom_site_fract_x
_atom_site_fract_y
_atom_site_fract_z
K1 K 0.000 0.000 0.000
K2 K 0.002 0.000 0.654
K3 K 0.062 0.344 0.058
K4 K 0.157 0.158 0.245
K5 K 0.164 0.500 0.310
K6 K 0.173 0.173 0.651
K7 K 0.185 0.500 0.930
K8 K 0.297 0.297 0.966
K9 K 0.455 0.143 0.655
K10 K 0.484 0.204 0.338
Rb1 Rb 0.409 0.000 0.372
Na1 Na 0.001 0.180 0.833
Na2 Na 0.178 0.000 0.473
Na3 Na 0.234 0.409 0.655
Na4 Na 0.268 0.091 0.006
Na5 Na 0.321 0.320 0.472
Na6 Na 0.360 0.000 0.831
Na7 Na 0.412 0.410 0.291
```



This entry pairs a crystal structure of K6Rb2Na with its theoretical XRD peak list. Radiation: Cu Kα (weighted mean of Kα1 and Kα2). Structure: a structure optimized by DFT (GGA-PBE).

Principal peaks in the range 10 to 90 degrees two-theta, in order of rising 2θ:
index, d [Å], I/Imax
0 0 8, 4.235, 231
1 0 0, 4.090, 396
1 0 3, 3.845, 510
0 0 9, 3.765, 177
1 0 4, 3.683, 171
1 0 5, 3.501, 1000
1 0 8, 2.942, 147
1 1 0, 2.361, 326
1 0 14, 2.083, 164
1 1 8, 2.062, 179
1 1 9, 2.000, 167
2 0 5, 1.958, 176

Atomic structure:
```
data_K6Rb2Na
_cell_length_a 4.7223
_cell_length_b 4.7223
_cell_length_c 33.8828
_cell_angle_alpha 90.00
_cell_angle_beta 90.00
_cell_angle_gamma 120.00
_symmetry_space_group_name_H-M 'P -6 m 2'
_symmetry_Int_Tables_number 187
_symmetry_space_group_name_Hall 'P -6 2'
loop_
_atom_site_label
_atom_site_type_symbol
_atom_site_fract_x
_atom_site_fract_y
_atom_site_fract_z
K1 K 0.0000 0.0000 0.0630
K2 K 0.0000 0.0000 0.2974
K3 K 0.3333 0.6667 0.4089
Rb1 Rb 0.3333 0.6667 0.1804
Na1 Na 0.0000 0.0000 0.5000
```



This entry pairs a crystal structure of K4Rb4Na3 with its theoretical XRD peak list. Radiation: Cu Kα (weighted mean of Kα1 and Kα2). Structure: a structure optimized by DFT (GGA-PBE).

Principal peaks in the range 10 to 90 degrees two-theta, in order of rising 2θ:
index, d [Å], I/Imax
1 0 -2, 4.764, 300
0 0 7, 4.460, 84
1 0 -6, 3.706, 1000
1 -1 0, 3.467, 284
1 1 -1, 3.454, 259
1 0 6, 3.428, 87
1 1 -8, 2.734, 96
0 2 -1, 2.448, 133
2 0 -1, 2.446, 98
1 1 -12, 2.194, 111
-2 1 6, 2.045, 180
2 1 -7, 2.039, 178

Atomic structure:
```
data_K4Rb4Na3
_cell_length_a 4.892
_cell_length_b 4.896
_cell_length_c 31.408
_cell_angle_alpha 94.47
_cell_angle_beta 94.42
_cell_angle_gamma 90.21
_symmetry_space_group_name_H-M 'P -1'
_symmetry_Int_Tables_number 2
_symmetry_space_group_name_Hall '-P 1'
loop_
_atom_site_label
_atom_site_type_symbol
_atom_site_fract_x
_atom_site_fract_y
_atom_site_fract_z
K1 K 0.092 0.093 0.189
K2 K 0.276 0.275 0.549
Rb1 Rb 0.168 0.170 0.343
Rb2 Rb 0.460 0.460 0.919
Na1 Na 0.000 0.000 0.000
Na2 Na 0.374 0.372 0.741
```



This entry pairs a crystal structure of K5Rb4Na2 with its theoretical XRD peak list. Radiation: Cu Kα (weighted mean of Kα1 and Kα2). Structure: a structure optimized by DFT (GGA-PBE).

Principal peaks in the range 10 to 90 degrees two-theta, in order of rising 2θ:
index, d [Å], I/Imax
1 6 0, 4.238, 137
1 3 1, 4.056, 239
0 4 1, 3.983, 162
3 1 0, 3.890, 279
1 4 1, 3.774, 1000
1 7 0, 3.697, 344
2 2 1, 3.636, 411
2 6 0, 3.598, 303
2 3 1, 3.484, 366
0 0 2, 2.455, 177
4 5 1, 2.293, 161
2 6 2, 2.028, 139

Atomic structure:
```
data_K5Rb4Na2
_cell_length_a 11.792
_cell_length_b 27.250
_cell_length_c 4.910
_cell_angle_alpha 90.00
_cell_angle_beta 90.00
_cell_angle_gamma 90.00
_symmetry_space_group_name_H-M 'P b a m'
_symmetry_Int_Tables_number 55
_symmetry_space_group_name_Hall '-P 2 2ab'
loop_
_atom_site_label
_atom_site_type_symbol
_atom_site_fract_x
_atom_site_fract_y
_atom_site_fract_z
K1 K 0.000 0.000 0.000
K2 K 0.142 0.418 0.000
K3 K 0.237 0.720 0.000
Rb1 Rb 0.060 0.848 0.500
Rb2 Rb 0.191 0.568 0.500
Na1 Na 0.051 0.304 0.500
```



This entry pairs a crystal structure of K6Rb2Na with its theoretical XRD peak list. Radiation: Cu Kα (weighted mean of Kα1 and Kα2). Structure: a structure optimized by DFT (GGA-PBE).

Principal peaks in the range 10 to 90 degrees two-theta, in order of rising 2θ:
index, d [Å], I/Imax
3 1 0, 5.767, 178
4 0 0, 4.549, 250
4 2 -1, 4.142, 177
4 2 0, 4.071, 313
3 1 1, 3.985, 188
2 0 -2, 3.966, 363
0 4 1, 3.897, 1000
2 4 -1, 3.840, 451
0 0 2, 3.740, 606
4 4 -1, 3.256, 274
4 2 1, 3.193, 271
8 2 0, 2.208, 171

Atomic structure:
```
data_K6Rb2Na
_cell_length_a 19.337
_cell_length_b 18.254
_cell_length_c 7.956
_cell_angle_alpha 90.00
_cell_angle_beta 109.80
_cell_angle_gamma 90.00
_symmetry_space_group_name_H-M 'C 1 2/c 1'
_symmetry_Int_Tables_number 15
_symmetry_space_group_name_Hall '-C 2yc'
loop_
_atom_site_label
_atom_site_type_symbol
_atom_site_fract_x
_atom_site_fract_y
_atom_site_fract_z
K1 K 0.065 0.203 0.080
K2 K 0.115 0.439 0.240
K3 K 0.196 0.310 0.726
Rb1 Rb 0.139 0.060 0.669
Na1 Na 0.000 0.374 0.750
```



This entry pairs a crystal structure of K4Rb9Na2 with its theoretical XRD peak list. Radiation: Cu Kα (weighted mean of Kα1 and Kα2). Structure: a structure optimized by DFT (GGA-PBE).

Principal peaks in the range 10 to 90 degrees two-theta, in order of rising 2θ:
index, d [Å], I/Imax
0 1 3, 5.019, 147
0 1 5, 3.816, 1000
1 1 0, 3.774, 980
2 0 5, 2.683, 440
1 0 10, 2.212, 178
1 2 5, 2.187, 451
3 0 0, 2.179, 210
0 2 10, 1.908, 112
2 2 0, 1.887, 133
2 1 10, 1.703, 157
3 1 5, 1.692, 185
2 3 5, 1.429, 111

Atomic structure:
```
data_K4Rb9Na2
_cell_length_a 7.5489
_cell_length_b 7.5489
_cell_length_c 23.5007
_cell_angle_alpha 90.00
_cell_angle_beta 90.00
_cell_angle_gamma 120.00
_symmetry_space_group_name_H-M 'P -3 m 1'
_symmetry_Int_Tables_number 164
_symmetry_space_group_name_Hall '-P 3 2"'
loop_
_atom_site_label
_atom_site_type_symbol
_atom_site_fract_x
_atom_site_fract_y
_atom_site_fract_z
K1 K 0.3333 0.6667 0.1778
K2 K 0.3333 0.6667 0.3678
Rb1 Rb 0.0000 0.0000 0.1040
Rb2 Rb 0.0000 0.0000 0.2936
Rb3 Rb 0.0000 0.0000 0.5000
Rb4 Rb 0.3333 0.6667 0.5786
Rb5 Rb 0.3333 0.6667 0.9595
Na1 Na 0.3333 0.6667 0.7709
```



This entry pairs a crystal structure of KRb5Na with its theoretical XRD peak list. Radiation: Cu Kα (weighted mean of Kα1 and Kα2). Structure: a structure optimized by DFT (GGA-PBE).

Principal peaks in the range 10 to 90 degrees two-theta, in order of rising 2θ:
index, d [Å], I/Imax
0 6 0, 4.705, 247
1 5 0, 4.656, 244
0 6 1, 4.255, 275
1 1 2, 4.212, 814
0 4 2, 4.080, 248
2 2 0, 3.954, 655
1 3 -2, 3.905, 1000
1 7 0, 3.621, 319
2 4 0, 3.557, 202
1 5 2, 3.401, 500
0 2 4, 2.461, 236
3 3 2, 2.324, 297

Atomic structure:
```
data_KRb5Na
_cell_length_a 8.237
_cell_length_b 28.219
_cell_length_c 10.003
_cell_angle_alpha 90.00
_cell_angle_beta 90.51
_cell_angle_gamma 90.00
_symmetry_space_group_name_H-M 'C 1 2/c 1'
_symmetry_Int_Tables_number 15
_symmetry_space_group_name_Hall '-C 2yc'
loop_
_atom_site_label
_atom_site_type_symbol
_atom_site_fract_x
_atom_site_fract_y
_atom_site_fract_z
K1 K 0.000 0.166 0.250
Rb1 Rb 0.000 0.139 0.750
Rb2 Rb 0.003 0.304 0.512
Rb3 Rb 0.248 0.469 0.898
Na1 Na 0.000 0.415 0.250
```



This entry pairs a crystal structure of K3RbNa6 with its theoretical XRD peak list. Radiation: Cu Kα (weighted mean of Kα1 and Kα2). Structure: a structure optimized by DFT (GGA-PBE).

Principal peaks in the range 10 to 90 degrees two-theta, in order of rising 2θ:
index, d [Å], I/Imax
1 1 1, 4.883, 206
2 1 1, 3.710, 89
2 0 2, 3.624, 154
1 0 -4, 3.590, 200
0 2 0, 3.301, 1000
2 1 2, 3.178, 386
1 1 -4, 3.154, 420
2 2 2, 2.442, 104
1 2 -4, 2.431, 109
3 3 -2, 1.906, 155
4 2 -6, 1.800, 89
0 4 0, 1.651, 87

Atomic structure:
```
data_K3RbNa6
_cell_length_a 11.631
_cell_length_b 6.609
_cell_length_c 14.376
_cell_angle_alpha 90.00
_cell_angle_beta 111.18
_cell_angle_gamma 90.00
_symmetry_space_group_name_H-M 'P 1 21/m 1'
_symmetry_Int_Tables_number 11
_symmetry_space_group_name_Hall '-P 2yb'
loop_
_atom_site_label
_atom_site_type_symbol
_atom_site_fract_x
_atom_site_fract_y
_atom_site_fract_z
K1 K 0.071 0.250 0.231
K2 K 0.300 0.250 0.041
K3 K 0.314 0.750 0.353
Rb1 Rb 0.128 0.750 0.569
Na1 Na 0.095 0.750 0.059
Na2 Na 0.130 0.250 0.753
Na3 Na 0.325 0.250 0.538
Na4 Na 0.328 0.750 0.881
Na5 Na 0.472 0.250 0.823
Na6 Na 0.500 0.250 0.332
```